No. 1
The following is a simulated powder diffractogram of K3ReClF6. It was derived from a cell relaxed with PBE, using λ = 1.5418 Å (Cu Kα).
No peak broadening, texture or thermal motion is included.

Peak list (10 most intense, 5 to 70 degrees two-theta, by angle)
14.5 deg, I = 376
14.9 deg, I = 1000
20.8 deg, I = 984
21.1 deg, I = 585
25.7 deg, I = 945
29.3 deg, I = 308
30.0 deg, I = 617
36.8 deg, I = 510
42.4 deg, I = 448
57.5 deg, I = 303

Structural model:
Unit cell a=8.4346 b=8.4346 c=6.0920 alpha=90.00 beta=90.00 gamma=90.00
Fractional coordinates of all 22 atoms:
K1 0.0000 0.0000 0.0000
K2 0.1855 0.3145 0.5000
K3 0.3145 0.8145 0.5000
K4 0.5000 0.5000 0.0000
K5 0.6855 0.1855 0.5000
K6 0.8145 0.6855 0.5000
Re1 0.0000 0.5000 0.0000
Re2 0.5000 0.0000 0.0000
Cl1 0.0000 0.0000 0.5000
Cl2 0.5000 0.5000 0.5000
F1 0.1125 0.6125 0.2411
F2 0.1125 0.6125 0.7589
F3 0.1667 0.3333 0.0000
F4 0.3333 0.8333 0.0000
F5 0.3875 0.1125 0.2411
F6 0.3875 0.1125 0.7589
F7 0.6125 0.8875 0.2411
F8 0.6125 0.8875 0.7589
F9 0.6667 0.1667 0.0000
F10 0.8333 0.6667 0.0000
F11 0.8875 0.3875 0.2411
F12 0.8875 0.3875 0.7589



No. 2
The following is a simulated powder diffractogram of K4BaSi3O9. It was derived from a cell relaxed with PBE, using λ = 1.5418 Å (Cu Kα).
No peak broadening, texture or thermal motion is included.

Peak list (10 most intense, 5 to 70 degrees two-theta, by angle)
13.0 deg, I = 154
14.6 deg, I = 160
20.4 deg, I = 366
29.2 deg, I = 236
29.4 deg, I = 238
30.7 deg, I = 1000
31.7 deg, I = 251
33.5 deg, I = 161
38.7 deg, I = 188
43.8 deg, I = 259

Structural model:
Unit cell a=11.2904 b=7.3324 c=7.3324 alpha=68.23 beta=90.00 gamma=90.00
Fractional coordinates of all 34 atoms:
K1 0.0000 0.0000 0.0000
K2 0.0000 0.4706 0.4706
K3 0.2500 0.7448 0.2626
K4 0.2500 0.8376 0.7361
K5 0.5000 0.0000 0.0000
K6 0.5000 0.4706 0.4706
K7 0.7500 0.2626 0.7448
K8 0.7500 0.7361 0.8376
Ba1 0.2500 0.2504 0.2442
Ba2 0.7500 0.2442 0.2504
Si1 0.0271 0.5293 0.9232
Si2 0.2500 0.3180 0.7736
Si3 0.4729 0.5293 0.9232
Si4 0.5271 0.9232 0.5293
Si5 0.7500 0.7736 0.3180
Si6 0.9729 0.9232 0.5293
O1 0.0000 0.7550 0.7550
O2 0.0860 0.5612 0.1102
O3 0.0915 0.9546 0.3971
O4 0.1320 0.4345 0.8199
O5 0.2500 0.0934 0.9311
O6 0.2500 0.3549 0.5431
O7 0.3680 0.4345 0.8199
O8 0.4085 0.9546 0.3971
O9 0.4140 0.5612 0.1102
O10 0.5000 0.7550 0.7550
O11 0.5860 0.1102 0.5612
O12 0.5915 0.3971 0.9546
O13 0.6320 0.8199 0.4345
O14 0.7500 0.5431 0.3549
O15 0.7500 0.9311 0.0934
O16 0.8680 0.8199 0.4345
O17 0.9085 0.3971 0.9546
O18 0.9140 0.1102 0.5612



No. 3
The following is a simulated powder diffractogram of Hf3As2. It was derived from a cell relaxed with PBE, using λ = 1.5418 Å (Cu Kα).
No peak broadening, texture or thermal motion is included.

Peak list (10 most intense, 5 to 70 degrees two-theta, by angle)
30.9 deg, I = 475
31.0 deg, I = 436
34.6 deg, I = 440
35.2 deg, I = 411
36.2 deg, I = 803
36.4 deg, I = 402
36.8 deg, I = 342
37.2 deg, I = 355
39.7 deg, I = 1000
49.4 deg, I = 418

Structural model:
Unit cell a=10.5502 b=3.6919 c=10.0552 alpha=90.00 beta=90.00 gamma=90.00
Fractional coordinates of all 20 atoms:
Hf1 0.0449 0.2500 0.1252
Hf2 0.1282 0.7500 0.5684
Hf3 0.2151 0.2500 0.7930
Hf4 0.2849 0.7500 0.2930
Hf5 0.3718 0.2500 0.0684
Hf6 0.4551 0.7500 0.6252
Hf7 0.5449 0.2500 0.3748
Hf8 0.6282 0.7500 0.9316
Hf9 0.7151 0.2500 0.7070
Hf10 0.7849 0.7500 0.2070
Hf11 0.8718 0.2500 0.4316
Hf12 0.9551 0.7500 0.8748
As1 0.0298 0.7500 0.3232
As2 0.1934 0.7500 0.9983
As3 0.3066 0.2500 0.4983
As4 0.4702 0.2500 0.8232
As5 0.5298 0.7500 0.1768
As6 0.6934 0.7500 0.5017
As7 0.8066 0.2500 0.0017
As8 0.9702 0.2500 0.6768



No. 4
The following is a simulated powder diffractogram of AcNdMg2. It was derived from a cell relaxed with PBE, using λ = 1.5418 Å (Cu Kα).
No peak broadening, texture or thermal motion is included.

Peak list (10 most intense, 5 to 70 degrees two-theta, by angle)
19.2 deg, I = 69
22.2 deg, I = 672
31.6 deg, I = 1000
37.3 deg, I = 43
39.0 deg, I = 216
45.3 deg, I = 186
49.6 deg, I = 20
51.0 deg, I = 304
56.3 deg, I = 394
66.0 deg, I = 122

Structural model:
Unit cell a=8.0040 b=8.0040 c=8.0040 alpha=90.00 beta=90.00 gamma=90.00
Fractional coordinates of all 16 atoms:
Ac1 0.0000 0.0000 0.0000
Ac2 0.0000 0.5000 0.5000
Ac3 0.5000 0.0000 0.5000
Ac4 0.5000 0.5000 0.0000
Nd1 0.0000 0.0000 0.5000
Nd2 0.0000 0.5000 0.0000
Nd3 0.5000 0.0000 0.0000
Nd4 0.5000 0.5000 0.5000
Mg1 0.2500 0.2500 0.2500
Mg2 0.2500 0.2500 0.7500
Mg3 0.2500 0.7500 0.2500
Mg4 0.2500 0.7500 0.7500
Mg5 0.7500 0.2500 0.2500
Mg6 0.7500 0.2500 0.7500
Mg7 0.7500 0.7500 0.2500
Mg8 0.7500 0.7500 0.7500



No. 5
The following is a simulated powder diffractogram of La3Ag4Sn4. It was derived from a cell relaxed with PBE, using λ = 1.5418 Å (Cu Kα).
No peak broadening, texture or thermal motion is included.

Peak list (10 most intense, 5 to 70 degrees two-theta, by angle)
30.7 deg, I = 253
30.8 deg, I = 1000
31.7 deg, I = 950
34.0 deg, I = 319
34.8 deg, I = 196
37.7 deg, I = 513
39.9 deg, I = 324
41.9 deg, I = 332
42.4 deg, I = 198
56.0 deg, I = 235

Structural model:
Unit cell a=9.0777 b=9.0777 c=9.0777 alpha=149.48 beta=131.17 gamma=58.68
Fractional coordinates of all 11 atoms:
La1 0.0000 0.0000 0.0000
La2 0.3691 0.8691 0.5000
La3 0.6309 0.1309 0.5000
Ag1 0.0226 0.3310 0.6916
Ag2 0.3606 0.6690 0.6916
Ag3 0.6394 0.3310 0.3084
Ag4 0.9774 0.6690 0.3084
Sn1 0.2162 0.2162 0.0000
Sn2 0.3080 0.5000 0.8080
Sn3 0.6920 0.5000 0.1920
Sn4 0.7838 0.7838 0.0000



No. 6
The following is a simulated powder diffractogram of ScPb3. It was derived from a cell relaxed with PBE, using λ = 1.5418 Å (Cu Kα).
No peak broadening, texture or thermal motion is included.

Peak list (10 most intense, 5 to 70 degrees two-theta, by angle)
21.5 deg, I = 211
27.1 deg, I = 72
29.6 deg, I = 339
31.4 deg, I = 218
34.8 deg, I = 1000
40.6 deg, I = 53
43.7 deg, I = 179
56.0 deg, I = 435
64.6 deg, I = 227
67.6 deg, I = 149

Structural model:
Unit cell a=6.5755 b=6.5755 c=6.0302 alpha=90.00 beta=90.00 gamma=120.00
Fractional coordinates of all 8 atoms:
Sc1 0.3333 0.6667 0.2500
Sc2 0.6667 0.3333 0.7500
Pb1 0.1698 0.3396 0.7500
Pb2 0.1698 0.8302 0.7500
Pb3 0.3396 0.1698 0.2500
Pb4 0.6604 0.8302 0.7500
Pb5 0.8302 0.1698 0.2500
Pb6 0.8302 0.6604 0.2500



No. 7
The following is a simulated powder diffractogram of KPuP2S7. It was derived from a cell relaxed with PBE, using λ = 1.5418 Å (Cu Kα).
No peak broadening, texture or thermal motion is included.

Peak list (10 most intense, 5 to 70 degrees two-theta, by angle)
9.0 deg, I = 795
11.5 deg, I = 1000
12.1 deg, I = 462
15.1 deg, I = 349
17.3 deg, I = 549
19.5 deg, I = 856
22.7 deg, I = 353
25.2 deg, I = 558
25.3 deg, I = 345
29.9 deg, I = 330

Structural model:
Unit cell a=9.7898 b=12.4469 c=9.0780 alpha=90.00 beta=90.14 gamma=90.00
Fractional coordinates of all 44 atoms:
K1 0.1052 0.1931 0.1324
K2 0.1052 0.3069 0.6324
K3 0.8948 0.6931 0.3676
K4 0.8948 0.8069 0.8676
Pu1 0.3591 0.6399 0.6073
Pu2 0.3591 0.8601 0.1073
Pu3 0.6409 0.1399 0.8927
Pu4 0.6409 0.3601 0.3927
P1 0.2277 0.6041 0.9766
P2 0.2277 0.8959 0.4766
P3 0.3148 0.0371 0.8041
P4 0.3148 0.4629 0.3041
P5 0.6852 0.5371 0.6959
P6 0.6852 0.9629 0.1959
P7 0.7723 0.1041 0.5234
P8 0.7723 0.3959 0.0234
S1 0.1335 0.7117 0.1100
S2 0.1335 0.7883 0.6100
S3 0.1368 0.5569 0.7869
S4 0.1368 0.9431 0.2869
S5 0.1669 0.5249 0.4347
S6 0.1669 0.9751 0.9347
S7 0.2521 0.0512 0.5782
S8 0.2521 0.4488 0.0782
S9 0.3540 0.1936 0.8541
S10 0.3540 0.3064 0.3541
S11 0.4102 0.6731 0.9235
S12 0.4102 0.8269 0.4235
S13 0.4845 0.5564 0.3265
S14 0.4845 0.9436 0.8265
S15 0.5155 0.0564 0.1735
S16 0.5155 0.4436 0.6735
S17 0.5898 0.1731 0.5765
S18 0.5898 0.3269 0.0765
S19 0.6460 0.6936 0.6459
S20 0.6460 0.8064 0.1459
S21 0.7479 0.5512 0.9218
S22 0.7479 0.9488 0.4218
S23 0.8331 0.0249 0.0653
S24 0.8331 0.4751 0.5653
S25 0.8632 0.0569 0.7131
S26 0.8632 0.4431 0.2131
S27 0.8665 0.2117 0.3900
S28 0.8665 0.2883 0.8900



No. 8
The following is a simulated powder diffractogram of Hg5Pd2. It was derived from a cell relaxed with PBE, using λ = 1.5418 Å (Cu Kα).
No peak broadening, texture or thermal motion is included.

Peak list (10 most intense, 5 to 70 degrees two-theta, by angle)
28.4 deg, I = 473
29.8 deg, I = 532
32.4 deg, I = 346
36.1 deg, I = 601
37.3 deg, I = 1000
38.4 deg, I = 340
41.6 deg, I = 793
44.6 deg, I = 441
66.4 deg, I = 233
67.2 deg, I = 260

Structural model:
Unit cell a=9.9516 b=9.9516 c=3.0010 alpha=90.00 beta=90.00 gamma=90.00
Fractional coordinates of all 14 atoms:
Hg1 0.0000 0.5000 0.0000
Hg2 0.0640 0.2048 0.0000
Hg3 0.2048 0.9360 0.0000
Hg4 0.2952 0.4360 0.0000
Hg5 0.4360 0.7048 0.0000
Hg6 0.5000 0.0000 0.0000
Hg7 0.5640 0.2952 0.0000
Hg8 0.7048 0.5640 0.0000
Hg9 0.7952 0.0640 0.0000
Hg10 0.9360 0.7952 0.0000
Pd1 0.1802 0.6802 0.5000
Pd2 0.3198 0.1802 0.5000
Pd3 0.6802 0.8198 0.5000
Pd4 0.8198 0.3198 0.5000